1.
Theoretical powder diffraction line list of Na3ZrTaSi3O12 for copper Kα, from DFT lattice parameters and positions (GGA-PBE).
Intensities are scaled so that the largest is 1000.

Cell and atoms:
abc: 9.1694 9.1694 9.1472
angles: 119.75 119.75 60.10
Fractional positions:
1 Na 0.0571 0.9429 0.5000
2 Na 0.2020 0.4214 0.9519
3 Na 0.3380 0.7939 0.2052
4 Na 0.4214 0.2020 0.4519
5 Na 0.7939 0.3380 0.7052
6 Na 0.9429 0.0571 0.0000
7 Zr 0.1688 0.6677 0.7743
8 Zr 0.6677 0.1688 0.2743
9 Ta 0.4587 0.9512 0.6410
10 Ta 0.9512 0.4587 0.1410
11 Si 0.0660 0.2675 0.4632
12 Si 0.2675 0.0660 0.9632
13 Si 0.3474 0.5673 0.4504
14 Si 0.5673 0.3474 0.9504
15 Si 0.7658 0.8473 0.4605
16 Si 0.8473 0.7658 0.9605
17 O 0.0262 0.3087 0.2846
18 O 0.0324 0.7367 0.9480
19 O 0.0828 0.2437 0.9658
20 O 0.1157 0.4300 0.6419
21 O 0.1748 0.5201 0.2690
22 O 0.2285 0.9076 0.9573
23 O 0.2437 0.0828 0.4658
24 O 0.2973 0.6160 0.6197
25 O 0.3087 0.0262 0.7846
26 O 0.3580 0.7488 0.4644
27 O 0.3988 0.5319 0.9516
28 O 0.4300 0.1157 0.1419
29 O 0.5201 0.1748 0.7690
30 O 0.5319 0.3988 0.4516
31 O 0.5794 0.8670 0.4655
32 O 0.6160 0.2973 0.1197
33 O 0.6693 0.8184 0.7882
34 O 0.7367 0.0324 0.4480
35 O 0.7488 0.3580 0.9644
36 O 0.8184 0.6693 0.2882
37 O 0.8219 0.9329 0.1394
38 O 0.8670 0.5794 0.9655
39 O 0.9076 0.2285 0.4573
40 O 0.9329 0.8219 0.6394

Most intense lines, 10° ≤ 2θ ≤ 90°, low angle first:
13.65 deg, I 226; 19.35 deg, I 1000; 27.50 deg, I 237; 30.77 deg, I 295; 30.90 deg, I 151; 33.82 deg, I 310; 33.91 deg, I 143; 44.16 deg, I 103; 46.34 deg, I 109; 52.73 deg, I 131

=====

2.
Theoretical powder diffraction line list of NaTbSi2O6 for copper Kα, from DFT lattice parameters and positions (GGA-PBE).
Intensities are scaled so that the largest is 1000.

Cell and atoms:
abc: 5.5496 9.4747 9.8095
angles: 117.23 97.25 99.82
Fractional positions:
1 Na 0.0000 0.0000 0.0000
2 Na 0.1706 0.5990 0.9320
3 Na 0.8294 0.4010 0.0680
4 Tb 0.0000 0.5000 0.5000
5 Tb 0.3191 0.7789 0.3612
6 Tb 0.6809 0.2211 0.6388
7 Si 0.1062 0.1216 0.3710
8 Si 0.2245 0.2330 0.8758
9 Si 0.3900 0.3627 0.2523
10 Si 0.6100 0.6373 0.7477
11 Si 0.7755 0.7670 0.1242
12 Si 0.8938 0.8784 0.6290
13 O 0.0191 0.3201 0.8384
14 O 0.0403 0.7574 0.5131
15 O 0.0966 0.0314 0.7876
16 O 0.2464 0.2762 0.0632
17 O 0.2598 0.2240 0.2967
18 O 0.2904 0.5258 0.3503
19 O 0.3011 0.0533 0.4491
20 O 0.3105 0.6092 0.7213
21 O 0.4949 0.2752 0.8413
22 O 0.5051 0.7248 0.1587
23 O 0.6895 0.3908 0.2787
24 O 0.6989 0.9467 0.5509
25 O 0.7096 0.4742 0.6497
26 O 0.7402 0.7760 0.7033
27 O 0.7536 0.7238 0.9368
28 O 0.9034 0.9686 0.2124
29 O 0.9597 0.2426 0.4869
30 O 0.9809 0.6799 0.1616

Most intense lines, 10° ≤ 2θ ≤ 90°, low angle first:
10.43 deg, I 1000; 17.45 deg, I 262; 19.56 deg, I 425; 21.07 deg, I 235; 21.67 deg, I 291; 23.36 deg, I 335; 29.24 deg, I 448; 29.85 deg, I 477; 30.16 deg, I 405; 36.34 deg, I 235

=====

3.
Theoretical powder diffraction line list of NaTbSi2O6 for copper Kα, from DFT lattice parameters and positions (GGA-PBE).
Intensities are scaled so that the largest is 1000.

Cell and atoms:
abc: 5.4836 13.9039 7.6987
angles: 90.00 110.03 90.00
Fractional positions:
1 Na 0.1388 0.2317 0.0433
2 Na 0.1388 0.2683 0.5433
3 Na 0.8612 0.7317 0.4567
4 Na 0.8612 0.7683 0.9567
5 Tb 0.0177 0.5055 0.7521
6 Tb 0.0177 0.9945 0.2521
7 Tb 0.9823 0.0055 0.7479
8 Tb 0.9823 0.4945 0.2479
9 Si 0.4184 0.6384 0.0676
10 Si 0.4184 0.8616 0.5676
11 Si 0.4276 0.6398 0.6443
12 Si 0.4276 0.8602 0.1443
13 Si 0.5724 0.1398 0.8557
14 Si 0.5724 0.3602 0.3557
15 Si 0.5816 0.1384 0.4324
16 Si 0.5816 0.3616 0.9324
17 O 0.2006 0.5633 0.0815
18 O 0.2006 0.9367 0.5815
19 O 0.2104 0.5658 0.5181
20 O 0.2104 0.9342 0.0181
21 O 0.2693 0.1335 0.8311
22 O 0.2693 0.3665 0.3311
23 O 0.2842 0.1259 0.3026
24 O 0.2842 0.3741 0.8026
25 O 0.3150 0.7497 0.0799
26 O 0.3150 0.7503 0.5799
27 O 0.3838 0.6225 0.8457
28 O 0.3838 0.8775 0.3457
29 O 0.6162 0.1225 0.6543
30 O 0.6162 0.3775 0.1543
31 O 0.6850 0.2497 0.4201
32 O 0.6850 0.2503 0.9201
33 O 0.7158 0.6259 0.1974
34 O 0.7158 0.8741 0.6974
35 O 0.7307 0.6335 0.6689
36 O 0.7307 0.8665 0.1689
37 O 0.7896 0.0658 0.9819
38 O 0.7896 0.4342 0.4819
39 O 0.7994 0.0633 0.4185
40 O 0.7994 0.4367 0.9185

Most intense lines, 10° ≤ 2θ ≤ 90°, low angle first:
12.73 deg, I 962; 17.21 deg, I 308; 21.47 deg, I 1000; 27.81 deg, I 568; 27.94 deg, I 580; 31.04 deg, I 777; 34.84 deg, I 225; 37.24 deg, I 387; 43.75 deg, I 292; 46.59 deg, I 357

=====

4.
Theoretical powder diffraction line list of Na2TiSiO5 for copper Kα, from DFT lattice parameters and positions (GGA-PBE).
Intensities are scaled so that the largest is 1000.

Cell and atoms:
abc: 6.5353 6.5353 5.1747
angles: 90.00 90.00 90.00
Fractional positions:
1 Na 0.0000 0.0000 0.0000
2 Na 0.0000 0.5000 0.0000
3 Na 0.5000 0.0000 0.0000
4 Na 0.5000 0.5000 0.0000
5 Ti 0.2500 0.2500 0.4363
6 Ti 0.7500 0.7500 0.5637
7 Si 0.2500 0.7500 0.5000
8 Si 0.7500 0.2500 0.5000
9 O 0.0428 0.7500 0.6823
10 O 0.2500 0.2500 0.7687
11 O 0.2500 0.5428 0.3177
12 O 0.2500 0.9572 0.3177
13 O 0.4572 0.7500 0.6823
14 O 0.5428 0.2500 0.3177
15 O 0.7500 0.0428 0.6823
16 O 0.7500 0.4572 0.6823
17 O 0.7500 0.7500 0.2313
18 O 0.9572 0.2500 0.3177

Most intense lines, 10° ≤ 2θ ≤ 90°, low angle first:
17.14 deg, I 249; 21.91 deg, I 117; 27.29 deg, I 136; 32.40 deg, I 1000; 35.27 deg, I 111; 37.38 deg, I 141; 38.98 deg, I 145; 53.14 deg, I 264; 56.31 deg, I 206; 66.48 deg, I 191

=====

5.
Theoretical powder diffraction line list of Na2Ti2Si4O13 for copper Kα, from DFT lattice parameters and positions (GGA-PBE).
Intensities are scaled so that the largest is 1000.

Cell and atoms:
abc: 13.1693 13.1693 5.2624
angles: 99.17 99.17 38.81
Fractional positions:
1 Na 0.0490 0.6527 0.7000
2 Na 0.3473 0.9510 0.8000
3 Na 0.6527 0.0490 0.2000
4 Na 0.9510 0.3473 0.3000
5 Ti 0.2582 0.4417 0.2116
6 Ti 0.4417 0.2582 0.7116
7 Ti 0.5583 0.7418 0.2884
8 Ti 0.7418 0.5583 0.7884
9 Si 0.0379 0.8339 0.2211
10 Si 0.1406 0.3257 0.7744
11 Si 0.1661 0.9621 0.2789
12 Si 0.3257 0.1406 0.2744
13 Si 0.6743 0.8594 0.7256
14 Si 0.8339 0.0379 0.7211
15 Si 0.8594 0.6743 0.2256
16 Si 0.9621 0.1661 0.7789
17 O 0.0419 0.1122 0.5007
18 O 0.0541 0.5317 0.2708
19 O 0.1122 0.0419 0.0007
20 O 0.1376 0.6535 0.1277
21 O 0.1483 0.8517 0.2500
22 O 0.2042 0.2115 0.0076
23 O 0.2115 0.2042 0.5076
24 O 0.2173 0.3821 0.8294
25 O 0.3170 0.4492 0.5437
26 O 0.3465 0.8624 0.3723
27 O 0.3821 0.2173 0.3294
28 O 0.4492 0.3170 0.0437
29 O 0.4683 0.9459 0.2292
30 O 0.5317 0.0541 0.7708
31 O 0.5508 0.6830 0.9563
32 O 0.6179 0.7827 0.6706
33 O 0.6535 0.1376 0.6277
34 O 0.6830 0.5508 0.4563
35 O 0.7827 0.6179 0.1706
36 O 0.7885 0.7958 0.4924
37 O 0.7958 0.7885 0.9924
38 O 0.8517 0.1483 0.7500
39 O 0.8624 0.3465 0.8723
40 O 0.8878 0.9581 0.9993
41 O 0.9459 0.4683 0.7292
42 O 0.9581 0.8878 0.4993

Most intense lines, 10° ≤ 2θ ≤ 90°, low angle first:
14.47 deg, I 350; 14.84 deg, I 1000; 19.70 deg, I 415; 27.46 deg, I 734; 29.00 deg, I 623; 31.86 deg, I 225; 32.72 deg, I 373; 34.59 deg, I 256; 36.58 deg, I 389; 63.88 deg, I 200